Entry 1:
SrCaPrSbO6: simulated X-ray powder pattern (Cu Ka), based on a GGA-PBE-relaxed structure.
Neutral-atom scattering factors, no anomalous dispersion.

```
data_SrCaPrSbO6
_cell_length_a 5.8651
_cell_length_b 6.0167
_cell_length_c 8.4153
_cell_angle_alpha 90.20
_cell_angle_beta 90.56
_cell_angle_gamma 90.02
_space_group_name_H-M_alt 'P -1'
_space_group_IT_number 2
loop_
_space_group_symop_operation_xyz
'x,y,z'
'-x,-y,-z'
loop_
_atom_site_label
_atom_site_fract_x
_atom_site_fract_y
_atom_site_fract_z
_atom_site_occupancy
Sr1 0.0110 0.0474 0.2496 1
Ca1 0.4861 0.5468 0.2536 1
Pr1 0.0000 0.5000 0.5000 1
Pr2 0.5000 0.0000 0.0000 1
Sb1 0.0000 0.5000 0.0000 1
Sb2 0.5000 0.0000 0.5000 1
O1 0.1179 0.5314 0.7731 1
O2 0.1753 0.7793 0.0557 1
O3 0.2207 0.8163 0.4530 1
O4 0.2782 0.3196 0.0631 1
O5 0.3282 0.2822 0.4376 1
O6 0.4043 0.0560 0.7279 1
```

Peak list (10 most intense, 10° ≤ 2θ ≤ 90°, in order of rising 2θ)
2θ (°)  I/Imax  index
21.14  68  1 1 0
29.70  48  0 2 0
29.96  100  -1 1 2
30.17  99  1 -1 2
30.48  45  2 0 0
43.05  75  0 0 4
52.92  18  1 -3 2
53.05  21  0 2 -4
53.71  23  -3 1 2
54.11  25  3 -1 2

Entry 2:
BaTbEuSnO6: simulated X-ray powder pattern (Cu Ka), based on a GGA-PBE-relaxed structure.
Neutral-atom scattering factors, no anomalous dispersion.

```
data_BaTbEuSnO6
_cell_length_a 8.4864
_cell_length_b 8.5204
_cell_length_c 8.5334
_cell_angle_alpha 90.00
_cell_angle_beta 90.00
_cell_angle_gamma 90.00
_space_group_name_H-M_alt 'P n n n'
_space_group_IT_number 48
loop_
_space_group_symop_operation_xyz
'x,y,z'
'-x,-y,-z'
'-x+1/2,-y+1/2,z'
'x+1/2,y+1/2,-z'
'x,-y+1/2,-z+1/2'
'-x,y+1/2,z+1/2'
'-x+1/2,y,-z+1/2'
'x+1/2,-y,z+1/2'
loop_
_atom_site_label
_atom_site_fract_x
_atom_site_fract_y
_atom_site_fract_z
_atom_site_occupancy
Ba1 0.2500 0.2500 0.2500 1
Ba2 0.2500 0.7500 0.7500 1
Tb1 0.0000 0.0000 0.0000 1
Eu1 0.2500 0.2500 0.7500 1
Eu2 0.2500 0.7500 0.2500 1
Sn1 0.0000 0.0000 0.5000 1
O1 0.0337 0.2409 0.4766 1
O2 0.0588 0.0356 0.7410 1
O3 0.2407 0.5467 0.0557 1
```

Peak list (10 most intense, 10° ≤ 2θ ≤ 90°, in order of rising 2θ)
2θ (°)  I/Imax  index
29.68  100  2 0 2
42.40  18  0 4 0
42.61  8  4 0 0
52.63  30  2 4 2
52.76  15  4 2 2
61.68  10  4 4 0
69.75  9  2 0 6
70.10  6  6 0 2
85.21  12  2 4 6
85.48  8  6 4 2

Entry 3:
H6PbCNF3: simulated X-ray powder pattern (Cu Ka), based on a GGA-PBE-relaxed structure.
Neutral-atom scattering factors, no anomalous dispersion.

```
data_H6PbCNF3
_cell_length_a 7.0650
_cell_length_b 7.0929
_cell_length_c 10.7836
_cell_angle_alpha 88.08
_cell_angle_beta 86.87
_cell_angle_gamma 89.64
_space_group_name_H-M_alt 'P 1'
_space_group_IT_number 1
loop_
_space_group_symop_operation_xyz
'x,y,z'
loop_
_atom_site_label
_atom_site_fract_x
_atom_site_fract_y
_atom_site_fract_z
_atom_site_occupancy
H1 0.0000 0.0000 0.0000 1
H2 0.0011 0.0338 0.7026 1
H3 0.0032 0.8801 0.5037 1
H4 0.0222 0.8531 0.2098 1
H5 0.0891 0.0969 0.2006 1
H6 0.1132 0.8070 0.7103 1
H7 0.1435 0.0708 0.4902 1
H8 0.1617 0.8236 0.9994 1
H9 0.2301 0.0483 0.9913 1
H10 0.2363 0.8548 0.4975 1
H11 0.2549 0.0164 0.6961 1
H12 0.2681 0.9171 0.1995 1
H13 0.5001 0.5071 0.5007 1
H14 0.5118 0.5053 0.9954 1
H15 0.5224 0.3545 0.7093 1
H16 0.5247 0.3483 0.2035 1
H17 0.5806 0.5949 0.2015 1
H18 0.5951 0.5970 0.7010 1
H19 0.6579 0.3276 0.4974 1
H20 0.6804 0.3349 0.9961 1
H21 0.7303 0.5512 0.4916 1
H22 0.7402 0.5617 0.9944 1
H23 0.7669 0.4222 0.2023 1
H24 0.7696 0.4126 0.6972 1
Pb1 0.1229 0.4388 0.8702 1
Pb2 0.1273 0.4490 0.3685 1
Pb3 0.6199 0.9411 0.8707 1
Pb4 0.6263 0.9626 0.3685 1
C1 0.1239 0.9505 0.6706 1
C2 0.1266 0.9553 0.1708 1
C3 0.6264 0.4562 0.1697 1
C4 0.6284 0.4550 0.6701 1
N1 0.1256 0.9396 0.5335 1
N2 0.1282 0.9550 0.0332 1
N3 0.6274 0.4582 0.5326 1
N4 0.6387 0.4632 0.0321 1
F1 0.1223 0.4523 0.1628 1
F2 0.1301 0.4552 0.6638 1
F3 0.3537 0.6740 0.9033 1
F4 0.3719 0.1857 0.8965 1
F5 0.3717 0.2025 0.3914 1
F6 0.3802 0.7074 0.4096 1
F7 0.6250 0.9498 0.1628 1
F8 0.6307 0.9557 0.6640 1
F9 0.8555 0.1727 0.9032 1
F10 0.8740 0.6876 0.9026 1
F11 0.8752 0.7057 0.4095 1
F12 0.8781 0.2101 0.3933 1
```

Peak list (10 most intense, 10° ≤ 2θ ≤ 90°, in order of rising 2θ)
2θ (°)  I/Imax  index
16.47  70  0 0 2
17.74  100  1 1 0
23.49  32  1 1 2
24.14  29  1 -1 2
24.51  28  -1 1 2
25.02  27  1 1 -2
25.12  29  0 2 0
25.25  29  2 0 0
35.84  21  2 2 0
36.00  21  2 -2 0

Entry 4:
Li3FeS3: simulated X-ray powder pattern (Cu Ka), based on a GGA-PBE-relaxed structure.
Neutral-atom scattering factors, no anomalous dispersion.

```
data_Li3FeS3
_cell_length_a 6.5546
_cell_length_b 12.8867
_cell_length_c 6.6696
_cell_angle_alpha 90.00
_cell_angle_beta 115.75
_cell_angle_gamma 90.00
_space_group_name_H-M_alt 'P 1 21/c 1'
_space_group_IT_number 14
loop_
_space_group_symop_operation_xyz
'x,y,z'
'-x,-y,-z'
'-x,y+1/2,-z+1/2'
'x,-y+1/2,z+1/2'
loop_
_atom_site_label
_atom_site_fract_x
_atom_site_fract_y
_atom_site_fract_z
_atom_site_occupancy
Li1 0.0592 0.1794 0.2073 1
Li2 0.3035 0.5616 0.9781 1
Li3 0.3465 0.7173 0.6843 1
Fe1 0.3126 0.0714 0.8401 1
S1 0.0032 0.1452 0.8260 1
S2 0.3438 0.6105 0.3559 1
S3 0.3556 0.1197 0.5412 1
```

Peak list (10 most intense, 10° ≤ 2θ ≤ 90°, in order of rising 2θ)
2θ (°)  I/Imax  index
13.74  28  0 2 0
17.27  100  1 1 -1
20.21  55  0 2 1
25.65  28  1 3 0
26.27  54  1 1 1
26.83  43  1 0 -2
27.70  70  0 4 0
45.86  33  0 1 3
46.13  33  3 0 0
49.34  27  3 1 -3